Na3LiMo2O8: computed XRD peak list (Cu Kα, 1.54184 Å), based on a cell relaxed with PBE+U.

Structural model:
```
data_Na3LiMo2O8
_cell_length_a 13.696
_cell_length_b 9.547
_cell_length_c 8.378
_cell_angle_alpha 90.00
_cell_angle_beta 120.10
_cell_angle_gamma 90.00
_space_group_name_H-M_alt 'C 1 c 1'
_space_group_IT_number 9
loop_
_space_group_symop_operation_xyz
'x,y,z'
'x,-y,z+1/2'
'x+1/2,y+1/2,z'
'x+1/2,-y+1/2,z+1/2'
loop_
_atom_site_label
_atom_site_type_symbol
_atom_site_fract_x
_atom_site_fract_y
_atom_site_fract_z
Na1 Na 0.000 0.017 0.000
Na2 Na 0.079 0.375 0.915
Na3 Na 0.325 0.084 0.444
Li1 Li 0.265 0.339 0.700
Mo1 Mo 0.052 0.249 0.325
Mo2 Mo 0.330 0.265 0.115
O1 O 0.003 0.274 0.083
O2 O 0.131 0.394 0.470
O3 O 0.139 0.096 0.411
O4 O 0.224 0.283 0.875
O5 O 0.257 0.284 0.240
O6 O 0.394 0.093 0.167
O7 O 0.427 0.286 0.838
O8 O 0.434 0.402 0.189
```

Most intense lines, 2θ from 5° to 70°, most intense first:
Position (°2θ)  I_rel
19.61  100
21.60  89
18.59  64
21.38  50
33.11  36
28.48  31
34.36  26
35.26  24